Diffraction record for PuPa2Si5. The X-ray powder pattern is calculated, not measured: it uses a cell relaxed with PBE and Cu Kα, 1.54184 Å.
Lines closer than 0.1° are merged.

```
data_PuPa2Si5
_space_group_name_H-M_alt 'I 4 m m'
_space_group_IT_number 107
_space_group_name_Hall 'I 4 -2'
_cell_length_a 6.2986
_cell_length_b 6.2986
_cell_length_c 7.5727
_cell_angle_alpha 90.00
_cell_angle_beta 90.00
_cell_angle_gamma 90.00
loop_
_atom_site_label
_atom_site_fract_x
_atom_site_fract_y
_atom_site_fract_z
_atom_site_occupancy
Pu1 0.0000 0.0000 0.0000 1
Pa1 0.0000 0.5000 0.3814 1
Si1 0.0000 0.0000 0.3884 1
Si2 0.2002 0.2002 0.6396 1
```

Most intense lines, 10 to 80 degrees two-theta, by intensity:
index	2theta	I/Imax
2 0 2	37.1	100
2 0 0	28.3	94
1 1 2	31.0	89
2 2 0	40.5	60
1 0 1	18.3	47
3 1 4	68.4	40
1 1 4	52.5	39
3 1 2	51.9	39